Structure and computed XRD peak list of Na2CoAuF6 (DFT lattice parameters and positions (GGA+U); Cu Kα X-rays).
Lines closer than 0.1° are merged.

Main lines, in order of rising 2θ (2θ from 15° to 90°):
2θ/deg, Rel. int.
18.25, 35
21.10, 100
30.01, 97
35.35, 34
42.96, 42
47.04, 21
48.34, 41
53.29, 38
62.38, 24
86.48, 21

```
Na2CoAuF6
1.0
0.0000 4.2105 4.2105
4.2105 0.0000 4.2105
4.2105 4.2105 0.0000
Na Co Au F
2 1 1 6
direct
0.2500 0.2500 0.2500
0.7500 0.7500 0.7500
0.0000 0.0000 0.0000
0.5000 0.5000 0.5000
0.2242 0.2242 0.7758
0.2242 0.7758 0.2242
0.2242 0.7758 0.7758
0.7758 0.2242 0.2242
0.7758 0.2242 0.7758
0.7758 0.7758 0.2242
```

***

Structure and computed XRD peak list of Rb2CoAuF6 (DFT lattice parameters and positions (GGA+U); Cu Kα X-rays).
Lines closer than 0.1° are merged.

Main lines, in order of rising 2θ (2θ from 15° to 90°):
2θ/deg, Rel. int.
17.59, 17
20.33, 12
28.91, 100
34.04, 16
41.34, 35
45.25, 10
51.23, 40
59.90, 22
67.86, 19
82.67, 22

```
Rb2CoAuF6
1.0
0.0000 4.3676 4.3676
4.3676 0.0000 4.3676
4.3676 4.3676 0.0000
Rb Co Au F
2 1 1 6
direct
0.2500 0.2500 0.2500
0.7500 0.7500 0.7500
0.0000 0.0000 0.0000
0.5000 0.5000 0.5000
0.2261 0.2261 0.7739
0.2261 0.7739 0.2261
0.2261 0.7739 0.7739
0.7739 0.2261 0.2261
0.7739 0.2261 0.7739
0.7739 0.7739 0.2261
```

***

Structure and computed XRD peak list of Na4CoAuO5 (DFT lattice parameters and positions (GGA+U); Cu Kα X-rays).
Lines closer than 0.1° are merged.

Main lines, in order of rising 2θ (2θ from 15° to 90°):
2θ/deg, Rel. int.
16.69, 24
17.73, 98
18.48, 55
24.45, 100
33.76, 29
34.98, 58
36.17, 83
39.84, 32
47.10, 26
55.06, 29

```
Na4CoAuO5
1.0
4.8016 -2.9297 0.0000
4.8016 2.9297 0.0000
0.0000 0.0000 10.6206
Na Co Au O
8 2 2 10
direct
0.1398 0.4917 0.7500
0.1709 0.1709 0.0000
0.1709 0.1709 0.5000
0.4917 0.1398 0.2500
0.5083 0.8602 0.7500
0.8291 0.8291 0.0000
0.8291 0.8291 0.5000
0.8602 0.5083 0.2500
0.2306 0.7694 0.2500
0.7694 0.2306 0.7500
0.5000 0.5000 0.0000
0.5000 0.5000 0.5000
0.0696 0.9304 0.7500
0.2082 0.5139 0.1176
0.2082 0.5139 0.3824
0.4861 0.7918 0.1176
0.4861 0.7918 0.3824
0.5139 0.2082 0.6176
0.5139 0.2082 0.8824
0.7918 0.4861 0.6176
0.7918 0.4861 0.8824
0.9304 0.0696 0.2500
```

***

Structure and computed XRD peak list of Rb2CrAuF6 (DFT lattice parameters and positions (GGA+U); Cu Kα X-rays).
Lines closer than 0.1° are merged.

Main lines, in order of rising 2θ (2θ from 15° to 90°):
2θ/deg, Rel. int.
17.36, 19
20.07, 11
28.53, 100
33.59, 19
40.79, 35
44.64, 13
50.53, 39
59.05, 21
66.87, 19
81.38, 22

```
Rb2CrAuF6
1.0
0.0000 4.4244 4.4244
4.4244 0.0000 4.4244
4.4244 4.4244 0.0000
Rb Cr Au F
2 1 1 6
direct
0.2500 0.2500 0.2500
0.7500 0.7500 0.7500
0.0000 0.0000 0.0000
0.5000 0.5000 0.5000
0.2199 0.2199 0.7801
0.2199 0.7801 0.2199
0.2199 0.7801 0.7801
0.7801 0.2199 0.2199
0.7801 0.2199 0.7801
0.7801 0.7801 0.2199
```

***

Structure and computed XRD peak list of K2FeAuF6 (DFT lattice parameters and positions (GGA+U); Cu Kα X-rays).
Lines closer than 0.1° are merged.

Main lines, in order of rising 2θ (2θ from 15° to 90°):
2θ/deg, Rel. int.
17.44, 30
20.17, 59
28.67, 100
33.76, 30
41.00, 41
46.10, 26
50.79, 38
59.37, 24
67.24, 19
81.86, 21

```
K2FeAuF6
1.0
0.0000 4.4030 4.4030
4.4030 0.0000 4.4030
4.4030 4.4030 0.0000
K Fe Au F
2 1 1 6
direct
0.2500 0.2500 0.2500
0.7500 0.7500 0.7500
0.0000 0.0000 0.0000
0.5000 0.5000 0.5000
0.2233 0.2233 0.7767
0.2233 0.7767 0.2233
0.2233 0.7767 0.7767
0.7767 0.2233 0.2233
0.7767 0.2233 0.7767
0.7767 0.7767 0.2233
```

***

Structure and computed XRD peak list of K2MoAuF6 (DFT lattice parameters and positions (GGA+U); Cu Kα X-rays).
Lines closer than 0.1° are merged.

Main lines, in order of rising 2θ (2θ from 15° to 90°):
2θ/deg, Rel. int.
19.62, 65
27.89, 100
32.83, 12
39.86, 39
44.80, 30
49.35, 40
57.64, 24
61.50, 15
65.22, 19
79.24, 22

```
K2MoAuF6
1.0
0.0000 4.5236 4.5236
4.5236 0.0000 4.5236
4.5236 4.5236 0.0000
K Mo Au F
2 1 1 6
direct
0.2500 0.2500 0.2500
0.7500 0.7500 0.7500
0.0000 0.0000 0.0000
0.5000 0.5000 0.5000
0.2291 0.2291 0.7709
0.2291 0.7709 0.2291
0.2291 0.7709 0.7709
0.7709 0.2291 0.2291
0.7709 0.2291 0.7709
0.7709 0.7709 0.2291
```